(1)
# Rb4MgSe4O14
Simulated powder diffraction line list, a wavelength of 1.5418 Å. Input: a GGA-PBE-relaxed structure.
No peak broadening, texture or thermal motion is included.

Unit cell a=7.787 b=7.871 c=8.616 alpha=116.81 beta=91.46 gamma=94.50
Space group P1 (No. 1)
One atom of each set of equivalent atoms:
1 Rb 0.000 0.000 0.000 [1 per cell]
2 Rb 0.119 0.150 0.517 [1 per cell]
3 Rb 0.306 0.542 0.121 [1 per cell]
4 Rb 0.580 0.882 0.560 [1 per cell]
5 Mg 0.701 0.384 0.341 [1 per cell]
6 Se 0.065 0.669 0.566 [1 per cell]
7 Se 0.497 0.037 0.145 [1 per cell]
8 Se 0.635 0.402 0.716 [1 per cell]
9 Se 0.844 0.569 0.093 [1 per cell]
10 O 0.117 0.627 0.733 [1 per cell]
11 O 0.238 0.727 0.483 [1 per cell]
12 O 0.413 0.948 0.277 [1 per cell]
13 O 0.442 0.270 0.231 [1 per cell]
14 O 0.452 0.327 0.766 [1 per cell]
15 O 0.615 0.515 0.595 [1 per cell]
16 O 0.685 0.559 0.216 [1 per cell]
17 O 0.717 0.100 0.209 [1 per cell]
18 O 0.729 0.605 0.921 [1 per cell]
19 O 0.772 0.241 0.642 [1 per cell]
20 O 0.935 0.368 0.999 [1 per cell]
21 O 0.937 0.848 0.628 [1 per cell]
22 O 0.957 0.464 0.404 [1 per cell]
23 O 0.977 0.765 0.181 [1 per cell]

The 8 most intense peaks (10 to 90 degrees two-theta), low angle first:
two_theta, d (Å), I_rel
22.7, 3.923, 98
23.2, 3.836, 100
25.0, 3.556, 61
25.2, 3.539, 81
26.5, 3.366, 64
26.8, 3.332, 40
31.3, 2.855, 68
32.7, 2.742, 64



(2)
# HfP2
Simulated powder diffraction line list, a wavelength of 1.5418 Å. Input: a GGA-PBE-relaxed structure.
No peak broadening, texture or thermal motion is included.

Unit cell a=5.596 b=5.596 c=6.539 alpha=90.00 beta=90.00 gamma=90.00
Space group I4/mcm (No. 140)
One atom of each set of equivalent atoms:
1 Hf 0.000 0.000 0.250 [4 per cell]
2 P 0.138 0.362 0.000 [8 per cell]

The 8 most intense peaks (10 to 90 degrees two-theta), low angle first:
two_theta, d (Å), I_rel
22.5, 3.957, 87
32.0, 2.798, 45
35.6, 2.520, 100
42.5, 2.126, 52
51.7, 1.770, 37
54.2, 1.693, 23
59.4, 1.556, 24
79.9, 1.201, 21



(3)
# LuAl3Fe7Si2
Simulated powder diffraction line list, a wavelength of 1.5418 Å. Input: a GGA-PBE-relaxed structure.
No peak broadening, texture or thermal motion is included.

Unit cell a=11.865 b=4.819 c=8.383 alpha=90.00 beta=134.87 gamma=90.00
Space group Cm (No. 8)
One atom of each set of equivalent atoms:
1 Lu 0.000 0.000 0.000 [2 per cell]
2 Al 0.010 0.000 0.647 [2 per cell]
3 Al 0.150 0.500 0.658 [2 per cell]
4 Al 0.352 0.000 0.338 [2 per cell]
5 Fe 0.001 0.000 0.346 [2 per cell]
6 Fe 0.002 0.500 0.213 [2 per cell]
7 Fe 0.228 0.500 0.232 [2 per cell]
8 Fe 0.247 0.252 0.997 [4 per cell]
9 Fe 0.283 0.000 0.779 [2 per cell]
10 Fe 0.490 0.000 0.759 [2 per cell]
11 Si 0.243 0.247 0.492 [4 per cell]

The 8 most intense peaks (10 to 90 degrees two-theta), low angle first:
two_theta, d (Å), I_rel
14.9, 5.940, 47
30.2, 2.963, 59
37.1, 2.420, 32
37.3, 2.409, 17
43.1, 2.101, 51
43.2, 2.096, 100
43.3, 2.090, 53
71.3, 1.322, 21